Structure and simulated powder diffractogram of Ac8CuIr3 (a DFT-relaxed cell (PBE, Alexandria); Cu Ka).

Crystal structure
```
data_Ac8CuIr3
_chemical_formula_sum 'Ac16 Cu2 Ir6'
_cell_length_a 14.5775
_cell_length_b 8.8820
_cell_length_c 8.5232
_cell_angle_alpha 90.00
_cell_angle_beta 122.40
_cell_angle_gamma 90.00
_space_group_name_H-M_alt 'C 1 2/m 1'
_space_group_IT_number 12
loop_
_space_group_symop_operation_xyz
'x,y,z'
'-x,-y,-z'
'-x,y,-z'
'x,-y,z'
'x+1/2,y+1/2,z'
'-x+1/2,-y+1/2,-z'
'-x+1/2,y+1/2,-z'
'x+1/2,-y+1/2,z'
loop_
_atom_site_label
_atom_site_type_symbol
_atom_site_fract_x
_atom_site_fract_y
_atom_site_fract_z
Ac1 Ac 0.0098 0.2409 0.2500
Ac2 Ac 0.2437 0.0000 0.2556
Ac3 Ac 0.2492 0.5000 0.2685
Cu1 Cu 0.0000 0.5000 0.0000
Ir1 Ir 0.0000 0.0000 0.0000
Ir2 Ir 0.2500 0.2500 0.5000
```

Largest 6 diffraction maxima, low angle first, 2θ from 10° to 90°:
12.99 deg, d = 6.817 Å, intensity 28
24.72 deg, d = 3.601 Å, intensity 22
29.05 deg, d = 3.074 Å, intensity 100
40.62 deg, d = 2.221 Å, intensity 42
42.46 deg, d = 2.129 Å, intensity 34
50.71 deg, d = 1.800 Å, intensity 22